(1)
Starting from a DFT-relaxed cell (GGA-PBE, the Materials Project), the X-ray powder pattern of MgTi2Se4O12 was calculated for a wavelength of 1.5418 Å.

Atomic structure:
Cell lengths 4.9396, 6.7882, 8.7402 Å; angles 90.13, 92.90, 111.32 degrees
Space group P1 (No. 1)
Symmetry-distinct sites (fractional):
Mg1 0.0000 0.0000 0.0000 [1 per cell]
Ti1 0.0171 0.0170 0.3669 [1 per cell]
Ti2 0.5643 0.5132 0.8517 [1 per cell]
Se1 0.2758 0.8632 0.7016 [1 per cell]
Se2 0.3671 0.6923 0.1753 [1 per cell]
Se3 0.6674 0.2386 0.0840 [1 per cell]
Se4 0.7312 0.3544 0.4948 [1 per cell]
O1 0.1085 0.8344 0.5176 [1 per cell]
O2 0.2314 0.9002 0.1799 [1 per cell]
O3 0.2985 0.2856 0.9249 [1 per cell]
O4 0.3308 0.6272 0.7055 [1 per cell]
O5 0.3834 0.2525 0.4133 [1 per cell]
O6 0.5590 0.7558 0.0069 [1 per cell]
O7 0.6544 0.7703 0.3103 [1 per cell]
O8 0.6644 0.3678 0.6833 [1 per cell]
O9 0.8153 0.1243 0.5059 [1 per cell]
O10 0.8643 0.4833 0.9909 [1 per cell]
O11 0.9588 0.1710 0.1963 [1 per cell]
O12 0.9750 0.8189 0.8113 [1 per cell]

Largest 10 diffraction maxima, sorted by position, 5 to 70 degrees two-theta:
(hkl), Position (°2θ), intensity
1 -1 0, 19.31, 26.5
1 -1 1, 22.20, 21.8
0 1 -2, 24.53, 30.4
0 1 2, 25.05, 33.9
-1 1 2, 27.63, 61.1
1 1 0, 27.85, 100.0
1 0 2, 28.99, 36.5
1 -2 1, 29.85, 48.3
-1 3 1, 41.41, 20.7
2 -4 0, 57.52, 16.8



(2)
Starting from a DFT-relaxed cell (GGA-PBE, the Materials Project), the X-ray powder pattern of MnBr2 was calculated for a wavelength of 1.5418 Å.

Atomic structure:
Cell lengths 11.0842, 11.0842, 11.0842 Å; angles 90.00, 90.00, 90.00 degrees
Space group Fd-3m (No. 227, origin choice 2)
Symmetry-distinct sites (fractional):
Mn1 0.0000 0.0000 0.0000 [16 per cell]
Br1 0.0057 0.0057 0.2443 [32 per cell]

Largest 10 diffraction maxima, sorted by position, 5 to 70 degrees two-theta:
(hkl), Position (°2θ), intensity
1 1 1, 13.84, 31.1
3 1 1, 26.67, 9.0
2 2 2, 27.88, 46.6
4 0 0, 32.31, 100.0
5 1 1, 42.37, 9.0
4 4 0, 46.34, 69.3
5 3 1, 48.59, 6.7
6 2 2, 54.95, 19.6
4 4 4, 57.61, 23.2
8 0 0, 67.62, 10.4



(3)
Starting from a DFT-relaxed cell (GGA-PBE, the Materials Project), the X-ray powder pattern of Ba2NdMgNbCu2O8 was calculated for a wavelength of 1.5418 Å.

Atomic structure:
Cell lengths 4.0865, 4.0865, 13.5550 Å; angles 90.00, 90.00, 90.00 degrees
Space group P4/mmm (No. 123)
Symmetry-distinct sites (fractional):
Ba1 0.0000 0.0000 0.2461 [2 per cell]
Nd1 0.0000 0.0000 0.5000 [1 per cell]
Mg1 0.0000 0.0000 0.0000 [1 per cell]
Nb1 0.5000 0.5000 0.0000 [1 per cell]
Cu1 0.5000 0.5000 0.3912 [2 per cell]
O1 0.0000 0.5000 0.0000 [2 per cell]
O2 0.0000 0.5000 0.3850 [4 per cell]
O3 0.5000 0.5000 0.1469 [2 per cell]

Largest 10 diffraction maxima, sorted by position, 5 to 70 degrees two-theta:
(hkl), Position (°2θ), intensity
0 0 1, 6.52, 59.9
1 0 2, 25.45, 38.8
1 0 3, 29.47, 43.7
1 1 0, 30.95, 98.1
1 0 4, 34.38, 100.0
1 0 5, 39.91, 26.7
1 1 4, 41.05, 40.7
2 0 0, 44.33, 62.6
0 0 8, 54.13, 30.1
2 1 4, 57.27, 44.3



(4)
Starting from a DFT-relaxed cell (GGA-PBE, the Materials Project), the X-ray powder pattern of Mg6Si5 was calculated for a wavelength of 1.5418 Å.

Atomic structure:
Cell lengths 4.2609, 7.2054, 14.2630 Å; angles 103.55, 91.10, 90.90 degrees
Space group P1 (No. 1)
Symmetry-distinct sites (fractional):
Mg1 0.0000 0.0000 0.0000 [1 per cell]
Mg2 0.0027 0.5225 0.0716 [1 per cell]
Mg3 0.0261 0.2300 0.2240 [1 per cell]
Mg4 0.4606 0.1682 0.6772 [1 per cell]
Mg5 0.4766 0.7322 0.5262 [1 per cell]
Mg6 0.4847 0.8840 0.8364 [1 per cell]
Mg7 0.4913 0.3104 0.9244 [1 per cell]
Mg8 0.5205 0.5770 0.2527 [1 per cell]
Mg9 0.5798 0.0119 0.3720 [1 per cell]
Mg10 0.9612 0.3873 0.5660 [1 per cell]
Mg11 0.9747 0.8029 0.6817 [1 per cell]
Mg12 0.9841 0.5400 0.8333 [1 per cell]
Si1 0.0109 0.8519 0.2204 [1 per cell]
Si2 0.0781 0.8136 0.3869 [1 per cell]
Si3 0.4713 0.5613 0.6880 [1 per cell]
Si4 0.4783 0.3628 0.4036 [1 per cell]
Si5 0.4895 0.7010 0.9790 [1 per cell]
Si6 0.5122 0.2541 0.1041 [1 per cell]
Si7 0.5156 0.9234 0.1369 [1 per cell]
Si8 0.9557 0.0051 0.5461 [1 per cell]
Si9 0.9800 0.5021 0.3909 [1 per cell]
Si10 0.9816 0.1333 0.8218 [1 per cell]

Largest 10 diffraction maxima, sorted by position, 5 to 70 degrees two-theta:
(hkl), Position (°2θ), intensity
-1 1 3, 32.67, 35.0
1 1 -4, 33.24, 60.7
1 -1 4, 33.66, 100.0
1 2 -3, 35.28, 23.1
-1 2 2, 37.34, 48.6
1 2 2, 38.32, 89.5
2 0 0, 42.44, 92.6
0 3 2, 43.70, 41.1
0 3 -5, 44.47, 23.4
0 0 7, 45.82, 36.9



(5)
Starting from a DFT-relaxed cell (GGA-PBE, the Materials Project), the X-ray powder pattern of Na2GaPCO7 was calculated for a wavelength of 1.5418 Å.

Atomic structure:
Cell lengths 5.1752, 6.5256, 8.9643 Å; angles 90.00, 90.47, 90.00 degrees
Space group P2_1/m (No. 11)
Symmetry-distinct sites (fractional):
Na1 0.2331 0.0031 0.2721 [4 per cell]
Ga1 0.2218 0.2500 0.8517 [2 per cell]
P1 0.2855 0.7500 0.9273 [2 per cell]
C1 0.2690 0.2500 0.5772 [2 per cell]
O1 0.0436 0.2500 0.6425 [2 per cell]
O2 0.1442 0.7500 0.0802 [2 per cell]
O3 0.2121 0.5585 0.8350 [4 per cell]
O4 0.3005 0.2500 0.4381 [2 per cell]
O5 0.4140 0.2500 0.0413 [2 per cell]
O6 0.4648 0.2500 0.6743 [2 per cell]

Largest 10 diffraction maxima, sorted by position, 5 to 70 degrees two-theta:
(hkl), Position (°2θ), intensity
0 0 1, 9.87, 100.0
0 1 1, 16.80, 52.3
1 0 -1, 19.76, 14.6
1 1 0, 21.92, 25.0
1 0 -2, 26.20, 39.9
1 0 2, 26.41, 17.5
0 2 0, 27.33, 31.4
1 2 -1, 33.98, 54.0
2 0 0, 34.67, 27.1
1 1 3, 37.50, 16.1



(6)
Starting from a DFT-relaxed cell (GGA-PBE, the Materials Project), the X-ray powder pattern of Mg2Sn was calculated for a wavelength of 1.5418 Å.

Atomic structure:
Cell lengths 3.3085, 3.3085, 15.2604 Å; angles 90.00, 90.00, 120.00 degrees
Space group P-6m2 (No. 187)
Symmetry-distinct sites (fractional):
Mg1 0.0000 0.0000 0.0000 [1 per cell]
Mg2 0.0000 0.0000 0.3339 [2 per cell]
Mg3 0.6667 0.3333 0.5000 [1 per cell]
Sn1 0.6667 0.3333 0.1667 [2 per cell]

Largest 10 diffraction maxima, sorted by position, 5 to 70 degrees two-theta:
(hkl), Position (°2θ), intensity
0 0 1, 5.79, 88.6
0 0 2, 11.60, 21.2
0 0 3, 17.43, 35.3
1 0 0, 31.22, 42.1
0 0 6, 35.29, 21.2
1 0 3, 35.97, 100.0
1 0 6, 47.82, 26.4
1 1 0, 55.55, 17.4
1 0 9, 63.78, 19.2
1 1 6, 67.55, 19.8



(7)
Starting from a DFT-relaxed cell (GGA-PBE, the Materials Project), the X-ray powder pattern of Na4HfZnSi2SO12 was calculated for a wavelength of 1.5418 Å.

Atomic structure:
Cell lengths 15.9353, 9.2032, 9.1044 Å; angles 90.00, 124.62, 90.00 degrees
Space group Cc (No. 9)
Symmetry-distinct sites (fractional):
Na1 0.0000 0.0609 0.0000 [4 per cell]
Na2 0.0698 0.2617 0.3864 [4 per cell]
Na3 0.1326 0.4317 0.7721 [4 per cell]
Na4 0.3516 0.1185 0.6660 [4 per cell]
Hf1 0.2353 0.2648 0.2527 [4 per cell]
Zn1 0.4336 0.2506 0.0484 [4 per cell]
Si1 0.3397 0.4519 0.6456 [4 per cell]
Si2 0.4834 0.1030 0.4362 [4 per cell]
S1 0.1898 0.0994 0.8495 [4 per cell]
O1 0.0777 0.3070 0.1170 [4 per cell]
O2 0.1013 0.1636 0.6848 [4 per cell]
O3 0.1843 0.0639 0.3307 [4 per cell]
O4 0.1877 0.1296 0.0098 [4 per cell]
O5 0.2524 0.3514 0.4699 [4 per cell]
O6 0.2631 0.4412 0.1685 [4 per cell]
O7 0.2827 0.1576 0.8735 [4 per cell]
O8 0.3752 0.1731 0.3976 [4 per cell]
O9 0.4106 0.4496 0.1111 [4 per cell]
O10 0.4124 0.3450 0.8140 [4 per cell]
O11 0.4862 0.1300 0.2635 [4 per cell]
O12 0.4935 0.0722 0.9706 [4 per cell]

Largest 10 diffraction maxima, sorted by position, 5 to 70 degrees two-theta:
(hkl), Position (°2θ), intensity
1 1 -1, 13.68, 29.8
3 1 -1, 19.27, 100.0
2 0 -2, 19.50, 20.7
2 2 -2, 27.56, 19.2
5 1 -1, 30.60, 32.3
4 2 -2, 30.83, 34.9
3 1 -3, 31.03, 28.2
2 0 2, 33.61, 21.2
1 3 1, 33.72, 37.5
2 2 -4, 46.61, 15.8



(8)
Starting from a DFT-relaxed cell (GGA-PBE, the Materials Project), the X-ray powder pattern of Lu2RuRh was calculated for a wavelength of 1.5418 Å.

Atomic structure:
Cell lengths 6.6789, 6.6789, 6.6789 Å; angles 90.00, 90.00, 90.00 degrees
Space group Fm-3m (No. 225)
Symmetry-distinct sites (fractional):
Lu1 0.2500 0.2500 0.2500 [8 per cell]
Ru1 0.0000 0.0000 0.0000 [4 per cell]
Rh1 0.0000 0.0000 0.5000 [4 per cell]

Largest 6 diffraction maxima, sorted by position, 5 to 70 degrees two-theta:
(hkl), Position (°2θ), intensity
2 0 0, 26.69, 7.5
2 2 0, 38.11, 100.0
2 2 2, 47.14, 2.3
4 0 0, 54.99, 17.3
4 2 0, 62.16, 3.2
4 2 2, 68.87, 35.0